Theoretical powder XRD pattern
Compound: ThTlCd
Radiation: copper Kα
Structure: DFT lattice parameters and positions (PBE)

Crystal structure
Cell: 5.318 9.588 6.587 Å, 90.00 90.00 90.00°
Space group Cmcm (No. 63)
One atom of each set of equivalent atoms:
Th: 0.000 0.170 0.250 x4
Tl: 0.000 0.158 0.750 x4
Cd: 0.000 0.500 0.000 x4

Most intense lines, 2θ = 10–80°, low angle first:
2theta, Rel. int., index
27.07, 26, 0 0 2
32.69, 100, 1 3 0
33.00, 34, 0 2 2
33.34, 73, 1 1 2
33.71, 47, 2 0 0
42.94, 31, 1 3 2
47.89, 24, 2 2 2
66.22, 27, 1 3 4

---

Theoretical powder XRD pattern
Compound: LiBi2Rh2
Radiation: copper Kα
Structure: DFT lattice parameters and positions (PBE)

Crystal structure
Cell: 4.280 5.160 5.531 Å, 64.36 67.79 65.88°
Space group P-1 (No. 2)
One atom of each set of equivalent atoms:
Li: 0.000 0.000 0.000 x1
Bi: 0.209 0.294 0.289 x2
Rh: 0.481 0.283 0.751 x2

Most intense lines, 2θ = 10–80°, low angle first:
2theta, Rel. int., index
26.07, 100, 1 1 0
35.35, 29, 1 -1 0
35.58, 28, 1 2 1
37.19, 44, 0 0 2
39.70, 27, -1 1 1
40.06, 26, 1 2 2
40.56, 53, 0 2 0
42.23, 38, 2 1 1